Theoretical powder diffraction line list
Compound: CeB4O7
Radiation: Cu Kα (weighted mean of Kα1 and Kα2)
Structure: a GGA-PBE-relaxed structure

Structural model:
a = 10.936 Å, b = 4.486 Å, c = 4.283 Å
α = 90.00°, β = 90.00°, γ = 90.00°
Positions (direct):
1 Ce 0.000 0.223 0.000
2 Ce 0.500 0.777 0.500
3 B 0.121 0.673 0.527
4 B 0.248 0.825 0.001
5 B 0.252 0.175 0.501
6 B 0.379 0.327 0.027
7 B 0.621 0.327 0.027
8 B 0.748 0.175 0.501
9 B 0.752 0.825 0.001
10 B 0.879 0.673 0.527
11 O 0.000 0.762 0.413
12 O 0.135 0.736 0.859
13 O 0.145 0.360 0.459
14 O 0.219 0.872 0.354
15 O 0.281 0.128 0.854
16 O 0.355 0.640 0.959
17 O 0.365 0.264 0.359
18 O 0.500 0.238 0.913
19 O 0.635 0.264 0.359
20 O 0.645 0.640 0.959
21 O 0.719 0.128 0.854
22 O 0.781 0.872 0.354
23 O 0.855 0.360 0.459
24 O 0.865 0.736 0.859

Largest 8 diffraction maxima, in order of rising 2θ, 15° ≤ 2θ ≤ 90°:
d = 5.468 Å, I = 44, hkl 2 0 0; d = 4.151 Å, I = 51, hkl 1 1 0; d = 3.988 Å, I = 52, hkl 1 0 1; d = 3.098 Å, I = 39, hkl 0 1 1; d = 2.829 Å, I = 47, hkl 3 1 0; d = 2.776 Å, I = 52, hkl 3 0 1; d = 2.695 Å, I = 100, hkl 2 1 1; d = 2.050 Å, I = 56, hkl 4 1 1